1.
This entry pairs a crystal structure of Nd2DyAg6 with its theoretical X-ray powder pattern. Radiation: Cu Kα. Structure: a crystal structure in Alexandria, relaxed with GGA-PBE.

Structural model:
a = 8.3144 Å, b = 8.3144 Å, c = 3.5196 Å
α = 90.00°, β = 90.00°, γ = 120.00°
Space group P6/mmm (No. 191)
Inequivalent atoms, fractional coordinates:
Nd: 0.3333 0.6667 0.0000 [2 per cell]
Dy: 0.0000 0.0000 0.0000 [1 per cell]
Ag: 0.0000 0.3312 0.5000 [6 per cell]

Principal peaks in the range 2θ from 10° to 80°, in order of rising 2θ:
- (1 1 1), 33.36°, rel. 100
- (3 0 0), 37.47°, rel. 74
- (2 2 1), 51.03°, rel. 29
- (4 1 1), 65.00°, rel. 28
- (3 0 2), 65.80°, rel. 27
- (3 3 0), 67.60°, rel. 12

=====

2.
This entry pairs a crystal structure of Tb3Y7Tm with its theoretical X-ray powder pattern. Radiation: Cu Kα. Structure: a crystal structure in Alexandria, relaxed with GGA-PBE.

Structural model:
a = 6.910 Å, b = 5.530 Å, c = 9.986 Å
α = 90.00°, β = 109.10°, γ = 90.00°
Space group P2/m (No. 10)
Inequivalent atoms, fractional coordinates:
Tb: 0.000 0.000 0.000 [1 per cell]
Tb: 0.278 0.500 0.495 [2 per cell]
Y: 0.000 0.000 0.500 [1 per cell]
Y: 0.150 0.500 0.789 [2 per cell]
Y: 0.318 0.500 0.136 [2 per cell]
Y: 0.424 0.000 0.329 [2 per cell]
Tm: 0.500 0.000 0.000 [1 per cell]

Principal peaks in the range 2θ from 10° to 80°, in order of rising 2θ:
- (0 1 1), 18.60°, rel. 24
- (0 0 2), 18.81°, rel. 28
- (2 1 0), 31.82°, rel. 100
- (2 1 -2), 32.14°, rel. 64
- (0 2 0), 32.39°, rel. 85
- (0 1 3), 32.75°, rel. 71

=====

3.
This entry pairs a crystal structure of CsBa2HoCl8 with its theoretical X-ray powder pattern. Radiation: Cu Kα. Structure: a crystal structure in Alexandria, relaxed with GGA-PBE.

Structural model:
a = 6.859 Å, b = 9.688 Å, c = 6.920 Å
α = 90.00°, β = 90.05°, γ = 90.00°
Space group P2/m (No. 10)
Inequivalent atoms, fractional coordinates:
Cs: 0.000 0.000 0.000 [1 per cell]
Ba: 0.500 0.255 0.500 [2 per cell]
Ho: 0.000 0.500 0.000 [1 per cell]
Cl: 0.219 0.306 0.846 [4 per cell]
Cl: 0.244 0.500 0.307 [2 per cell]
Cl: 0.266 0.000 0.398 [2 per cell]

Principal peaks in the range 2θ from 10° to 80°, in order of rising 2θ:
- (1 0 1), 18.21°, rel. 100
- (1 2 0), 22.45°, rel. 80
- (1 2 2), 34.43°, rel. 38
- (2 2 -1), 34.57°, rel. 58
- (2 0 2), 36.90°, rel. 20
- (1 4 -1), 41.63°, rel. 32

=====

4.
This entry pairs a crystal structure of CaHfBi3 with its theoretical X-ray powder pattern. Radiation: Cu Kα. Structure: a crystal structure in Alexandria, relaxed with GGA-PBE.

Structural model:
a = 13.950 Å, b = 6.512 Å, c = 6.665 Å
α = 90.00°, β = 90.00°, γ = 90.00°
Space group Pbcm (No. 57)
Inequivalent atoms, fractional coordinates:
Ca: 0.183 0.019 0.250 [4 per cell]
Hf: 0.405 0.750 0.000 [4 per cell]
Bi: 0.007 0.750 0.000 [4 per cell]
Bi: 0.262 0.511 0.250 [4 per cell]
Bi: 0.423 0.132 0.250 [4 per cell]

Principal peaks in the range 2θ from 10° to 80°, in order of rising 2θ:
- (3 1 1), 27.10°, rel. 100
- (2 0 2), 29.71°, rel. 56
- (2 2 0), 30.29°, rel. 93
- (5 0 0), 32.07°, rel. 71
- (3 1 2), 35.91°, rel. 60
- (0 2 2), 38.67°, rel. 79

=====

5.
This entry pairs a crystal structure of BaPrReN3 with its theoretical X-ray powder pattern. Radiation: Cu Kα. Structure: a crystal structure in Alexandria, relaxed with GGA-PBE.

Structural model:
a = 6.2947 Å, b = 6.2947 Å, c = 7.0912 Å
α = 90.00°, β = 90.00°, γ = 120.00°
Space group P6_3/mmc (No. 194)
Inequivalent atoms, fractional coordinates:
Ba: 0.3333 0.6667 0.2500 [2 per cell]
Pr: 0.0000 0.0000 0.0000 [2 per cell]
Re: 0.3333 0.6667 0.7500 [2 per cell]
N: 0.1643 0.3287 0.7500 [6 per cell]

Principal peaks in the range 2θ from 10° to 80°, in order of rising 2θ:
- (1 1 0), 28.36°, rel. 100
- (1 0 2), 30.07°, rel. 75
- (2 0 2), 41.80°, rel. 36
- (3 0 0), 50.21°, rel. 21
- (2 1 2), 51.28°, rel. 35
- (1 1 4), 59.88°, rel. 25